Record 1
This entry pairs a crystal structure of CeIn2S4 with its computed X-ray diffraction stick pattern. Radiation: copper Kα. Structure: the PBE geometry in Alexandria.
Intensities are scaled so that the largest is 1000.

Principal peaks in the range 10° ≤ 2θ ≤ 80°, in order of rising 2θ:
two_theta  I_rel
16.4  292
17.4  642
23.3  696
29.2  560
30.9  1000
33.1  619
45.9  996
53.6  369

Cell: 7.647 7.647 6.850 Å, 90.00 90.00 90.00°
Element x y z (fractional)
Ce (0.000, 0.000, 0.000)
Ce (0.500, 0.500, 0.500)
In (0.000, 0.500, 0.250)
In (0.000, 0.500, 0.750)
In (0.500, 0.000, 0.250)
In (0.500, 0.000, 0.750)
S (0.176, 0.320, 0.500)
S (0.180, 0.676, 0.000)
S (0.320, 0.824, 0.500)
S (0.324, 0.180, 0.000)
S (0.676, 0.820, 0.000)
S (0.680, 0.176, 0.500)
S (0.820, 0.324, 0.000)
S (0.824, 0.680, 0.500)

Record 2
This entry pairs a crystal structure of Ac3Sn2Hg8 with its computed X-ray diffraction stick pattern. Radiation: copper Kα. Structure: the PBE geometry in Alexandria.
Intensities are scaled so that the largest is 1000.

Principal peaks in the range 10° ≤ 2θ ≤ 80°, in order of rising 2θ:
two_theta  I_rel
28.5  449
32.5  448
32.7  937
33.4  1000
34.6  578
35.5  394
53.2  486
59.0  466

Cell: 12.160 12.160 12.160 Å, 29.86 29.86 29.86°
Element x y z (fractional)
Ac (0.000, 0.000, 0.000)
Ac (0.188, 0.188, 0.188)
Ac (0.812, 0.812, 0.812)
Sn (0.366, 0.366, 0.366)
Sn (0.634, 0.634, 0.634)
Hg (0.228, 0.730, 0.730)
Hg (0.270, 0.270, 0.772)
Hg (0.270, 0.772, 0.270)
Hg (0.283, 0.283, 0.283)
Hg (0.717, 0.717, 0.717)
Hg (0.730, 0.228, 0.730)
Hg (0.730, 0.730, 0.228)
Hg (0.772, 0.270, 0.270)

Record 3
This entry pairs a crystal structure of HfThNp with its computed X-ray diffraction stick pattern. Radiation: copper Kα. Structure: the PBE geometry in Alexandria.
Intensities are scaled so that the largest is 1000.

Principal peaks in the range 10° ≤ 2θ ≤ 80°, in order of rising 2θ:
two_theta  I_rel
11.9  1000
15.3  419
25.6  266
36.3  388
36.7  362
38.8  259
40.3  429
44.4  227

Cell: 4.887 14.825 5.804 Å, 90.00 90.75 90.00°
Element x y z (fractional)
Hf (0.244, 0.000, 0.388)
Hf (0.256, 0.500, 0.612)
Hf (0.744, 0.500, 0.388)
Hf (0.756, 0.000, 0.612)
Th (0.000, 0.158, 0.000)
Th (0.000, 0.842, 0.000)
Th (0.500, 0.342, 0.000)
Th (0.500, 0.658, 0.000)
Np (0.207, 0.500, 0.106)
Np (0.293, 0.000, 0.894)
Np (0.707, 0.000, 0.106)
Np (0.793, 0.500, 0.894)

Record 4
This entry pairs a crystal structure of InGa6Ni12 with its computed X-ray diffraction stick pattern. Radiation: copper Kα. Structure: the PBE geometry in Alexandria.
Intensities are scaled so that the largest is 1000.

Principal peaks in the range 10° ≤ 2θ ≤ 80°, in order of rising 2θ:
two_theta  I_rel
28.9  287
32.6  121
42.4  960
43.0  364
45.2  1000
46.7  344
53.9  185
79.5  129

Cell: 6.497 6.497 6.497 Å, 103.40 103.40 103.40°
Element x y z (fractional)
In (0.000, 0.000, 0.000)
Ga (0.172, 0.174, 0.453)
Ga (0.174, 0.453, 0.172)
Ga (0.453, 0.172, 0.174)
Ga (0.547, 0.828, 0.826)
Ga (0.826, 0.547, 0.828)
Ga (0.828, 0.826, 0.547)
Ni (0.000, 0.264, 0.736)
Ni (0.000, 0.736, 0.264)
Ni (0.188, 0.577, 0.576)
Ni (0.264, 0.000, 0.736)
Ni (0.264, 0.736, 0.000)
Ni (0.423, 0.424, 0.812)
Ni (0.424, 0.812, 0.423)
Ni (0.576, 0.188, 0.577)
Ni (0.577, 0.576, 0.188)
Ni (0.736, 0.000, 0.264)
Ni (0.736, 0.264, 0.000)
Ni (0.812, 0.423, 0.424)

Record 5
This entry pairs a crystal structure of LiNdLuCd with its computed X-ray diffraction stick pattern. Radiation: copper Kα. Structure: the PBE geometry in Alexandria.
Intensities are scaled so that the largest is 1000.

Principal peaks in the range 10° ≤ 2θ ≤ 80°, in order of rising 2θ:
two_theta  I_rel
20.5  157
23.8  248
33.8  1000
39.9  85
48.6  180
54.8  107
60.5  370
71.2  114

Cell: 7.492 7.492 7.492 Å, 90.00 90.00 90.00°
Element x y z (fractional)
Li (0.000, 0.000, 0.000)
Li (0.000, 0.500, 0.500)
Li (0.500, 0.000, 0.500)
Li (0.500, 0.500, 0.000)
Nd (0.250, 0.250, 0.750)
Nd (0.250, 0.750, 0.250)
Nd (0.750, 0.250, 0.250)
Nd (0.750, 0.750, 0.750)
Lu (0.250, 0.250, 0.250)
Lu (0.250, 0.750, 0.750)
Lu (0.750, 0.250, 0.750)
Lu (0.750, 0.750, 0.250)
Cd (0.000, 0.000, 0.500)
Cd (0.000, 0.500, 0.000)
Cd (0.500, 0.000, 0.000)
Cd (0.500, 0.500, 0.500)

Please write out number 5 again, unchanged.
This entry pairs a crystal structure of LiNdLuCd with its computed X-ray diffraction stick pattern. Radiation: copper Kα. Structure: the PBE geometry in Alexandria.
Intensities are scaled so that the largest is 1000.

Principal peaks in the range 10° ≤ 2θ ≤ 80°, in order of rising 2θ:
two_theta  I_rel
20.5  157
23.8  248
33.8  1000
39.9  85
48.6  180
54.8  107
60.5  370
71.2  114

Cell: 7.492 7.492 7.492 Å, 90.00 90.00 90.00°
Element x y z (fractional)
Li (0.000, 0.000, 0.000)
Li (0.000, 0.500, 0.500)
Li (0.500, 0.000, 0.500)
Li (0.500, 0.500, 0.000)
Nd (0.250, 0.250, 0.750)
Nd (0.250, 0.750, 0.250)
Nd (0.750, 0.250, 0.250)
Nd (0.750, 0.750, 0.750)
Lu (0.250, 0.250, 0.250)
Lu (0.250, 0.750, 0.750)
Lu (0.750, 0.250, 0.750)
Lu (0.750, 0.750, 0.250)
Cd (0.000, 0.000, 0.500)
Cd (0.000, 0.500, 0.000)
Cd (0.500, 0.000, 0.000)
Cd (0.500, 0.500, 0.500)

Repeat the second record exactly.
This entry pairs a crystal structure of Ac3Sn2Hg8 with its computed X-ray diffraction stick pattern. Radiation: copper Kα. Structure: the PBE geometry in Alexandria.
Intensities are scaled so that the largest is 1000.

Principal peaks in the range 10° ≤ 2θ ≤ 80°, in order of rising 2θ:
two_theta  I_rel
28.5  449
32.5  448
32.7  937
33.4  1000
34.6  578
35.5  394
53.2  486
59.0  466

Cell: 12.160 12.160 12.160 Å, 29.86 29.86 29.86°
Element x y z (fractional)
Ac (0.000, 0.000, 0.000)
Ac (0.188, 0.188, 0.188)
Ac (0.812, 0.812, 0.812)
Sn (0.366, 0.366, 0.366)
Sn (0.634, 0.634, 0.634)
Hg (0.228, 0.730, 0.730)
Hg (0.270, 0.270, 0.772)
Hg (0.270, 0.772, 0.270)
Hg (0.283, 0.283, 0.283)
Hg (0.717, 0.717, 0.717)
Hg (0.730, 0.228, 0.730)
Hg (0.730, 0.730, 0.228)
Hg (0.772, 0.270, 0.270)